No. 1
# MgZnH12C4O12
Computed XRD peak list, copper Kα. Input: a cell relaxed with GGA-PBE.
Intensities are scaled so that the largest is 100.

Most intense lines, 5 to 70 degrees two-theta, low angle first:
2θ 10.39, I 34, (1 0 0)
2θ 15.93, I 29, (0 1 1)
2θ 18.32, I 100, (1 1 -1)
2θ 19.57, I 45, (0 0 2)
2θ 19.77, I 63, (1 1 1)
2θ 20.87, I 27, (2 0 0)
2θ 26.68, I 36, (1 1 2)
2θ 33.05, I 22, (1 2 -2)
2θ 34.27, I 31, (3 1 -1)
2θ 35.19, I 29, (1 1 3)

Crystal structure
```
data_MgZnH12C4O12
_chemical_formula_sum 'Mg2 Zn2 H24 C8 O24'
_space_group_name_H-M_alt 'P 1 21/c 1'
_space_group_IT_number 14
_cell_length_a 8.590
_cell_length_b 7.042
_cell_length_c 9.154
_cell_angle_alpha 90.00
_cell_angle_beta 97.72
_cell_angle_gamma 90.00
loop_
_space_group_symop_operation_xyz
'x,y,z'
'-x,-y,-z'
'-x,y+1/2,-z+1/2'
'x,-y+1/2,z+1/2'
loop_
_atom_site_label
_atom_site_type_symbol
_atom_site_fract_x
_atom_site_fract_y
_atom_site_fract_z
Mg1 Mg 0.000 0.000 0.000
Zn1 Zn 0.500 0.000 0.500
H1 H 0.031 0.153 0.282
H2 H 0.172 0.031 0.609
H3 H 0.199 0.096 0.239
H4 H 0.265 0.605 0.448
H5 H 0.288 0.116 0.986
H6 H 0.431 0.709 0.724
C1 C 0.174 0.614 0.063
C2 C 0.461 0.221 0.223
O1 O 0.060 0.723 0.078
O2 O 0.087 0.111 0.199
O3 O 0.219 0.024 0.926
O4 O 0.291 0.664 0.000
O5 O 0.398 0.095 0.294
O6 O 0.405 0.229 0.594
```

No. 2
# Na4ZnP4H16C2N2O16
Computed XRD peak list, copper Kα. Input: a cell relaxed with GGA-PBE.
Intensities are scaled so that the largest is 100.

Most intense lines, 5 to 70 degrees two-theta, low angle first:
2θ 7.25, I 100, (0 0 1)
2θ 14.61, I 35, (0 1 0)
2θ 16.04, I 26, (0 1 -1)
2θ 17.36, I 17, (1 0 -1)
2θ 28.07, I 20, (1 0 3)
2θ 30.78, I 15, (1 -1 3)
2θ 32.76, I 47, (1 1 3)
2θ 33.10, I 20, (2 0 -1)
2θ 34.79, I 13, (1 2 0)
2θ 36.19, I 17, (0 2 -3)

Crystal structure
```
data_Na4ZnP4H16C2N2O16
_chemical_formula_sum 'Na4 Zn1 P4 H16 C2 N2 O16'
_space_group_name_H-M_alt 'P -1'
_space_group_IT_number 2
_cell_length_a 5.500
_cell_length_b 6.080
_cell_length_c 12.225
_cell_angle_alpha 92.27
_cell_angle_beta 93.13
_cell_angle_gamma 93.76
loop_
_space_group_symop_operation_xyz
'x,y,z'
'-x,-y,-z'
loop_
_atom_site_label
_atom_site_type_symbol
_atom_site_fract_x
_atom_site_fract_y
_atom_site_fract_z
Na1 Na 0.014 0.083 0.311
Na2 Na 0.392 0.904 0.890
Zn1 Zn 0.000 0.500 0.500
P1 P 0.145 0.399 0.755
P2 P 0.495 0.700 0.638
H1 H 0.138 0.349 0.096
H2 H 0.142 0.824 0.101
H3 H 0.220 0.312 0.973
H4 H 0.301 0.723 0.377
H5 H 0.306 0.647 0.053
H6 H 0.408 0.249 0.565
H7 H 0.416 0.541 0.217
H8 H 0.499 0.895 0.320
C1 C 0.456 0.445 0.711
N1 N 0.486 0.744 0.360
O1 O 0.004 0.317 0.645
O2 O 0.073 0.618 0.805
O3 O 0.138 0.207 0.834
O4 O 0.253 0.739 0.574
O5 O 0.281 0.357 0.049
O6 O 0.291 0.316 0.438
O7 O 0.294 0.810 0.062
O8 O 0.441 0.121 0.272
```

No. 3
# NbH6C4NO10
Computed XRD peak list, copper Kα. Input: a cell relaxed with GGA-PBE.
Intensities are scaled so that the largest is 100.

Most intense lines, 5 to 70 degrees two-theta, low angle first:
2θ 10.03, I 100, (1 1 0)
2θ 20.12, I 18, (2 2 0)
2θ 20.22, I 33, (1 1 1)
2θ 21.42, I 34, (0 2 1)
2θ 24.62, I 25, (0 4 0)
2θ 26.78, I 34, (1 3 1)
2θ 30.38, I 21, (0 4 1)
2θ 35.30, I 18, (3 3 1)
2θ 44.90, I 14, (5 1 1)
2θ 48.49, I 13, (5 3 1)

Crystal structure
```
data_NbH6C4NO10
_chemical_formula_sum 'Nb4 H24 C16 N4 O40'
_space_group_name_H-M_alt 'C 2 2 21'
_space_group_IT_number 20
_cell_length_a 11.133
_cell_length_b 14.461
_cell_length_c 5.063
_cell_angle_alpha 90.00
_cell_angle_beta 90.00
_cell_angle_gamma 90.00
loop_
_space_group_symop_operation_xyz
'x,y,z'
'-x,-y,z+1/2'
'x,-y,-z'
'-x,y,-z+1/2'
'x+1/2,y+1/2,z'
'-x+1/2,-y+1/2,z+1/2'
'x+1/2,-y+1/2,-z'
'-x+1/2,y+1/2,-z+1/2'
loop_
_atom_site_label
_atom_site_type_symbol
_atom_site_fract_x
_atom_site_fract_y
_atom_site_fract_z
Nb1 Nb 0.000 0.098 0.250
H1 H 0.019 0.401 0.083
H2 H 0.072 0.483 0.286
H3 H 0.080 0.279 0.233
C1 C 0.221 0.158 0.558
C2 C 0.234 0.383 0.796
N1 N 0.000 0.440 0.250
O1 O 0.000 0.244 0.250
O2 O 0.005 0.000 0.500
O3 O 0.108 0.151 0.585
O4 O 0.126 0.400 0.760
O5 O 0.180 0.099 0.131
O6 O 0.208 0.311 0.226
```

No. 4
# NiH10C4S2N8
Computed XRD peak list, copper Kα. Input: a cell relaxed with GGA-PBE.
Intensities are scaled so that the largest is 100.

Most intense lines, 5 to 70 degrees two-theta, low angle first:
2θ 13.14, I 69, (1 1 0)
2θ 13.25, I 39, (2 0 0)
2θ 18.74, I 65, (1 1 1)
2θ 26.49, I 44, (2 2 -1)
2θ 26.84, I 39, (4 0 -2)
2θ 27.85, I 100, (1 1 2)
2θ 28.82, I 39, (3 1 1)
2θ 29.99, I 58, (2 0 2)
2θ 40.55, I 25, (4 2 -3)
2θ 46.98, I 25, (1 3 -3)

Crystal structure
```
data_NiH10C4S2N8
_chemical_formula_sum 'Ni4 H40 C16 S8 N32'
_space_group_name_H-M_alt 'C 1 2/c 1'
_space_group_IT_number 15
_cell_length_a 14.613
_cell_length_b 7.804
_cell_length_c 8.886
_cell_angle_alpha 90.00
_cell_angle_beta 113.82
_cell_angle_gamma 90.00
loop_
_space_group_symop_operation_xyz
'x,y,z'
'-x,-y,-z'
'-x,y,-z+1/2'
'x,-y,z+1/2'
'x+1/2,y+1/2,z'
'-x+1/2,-y+1/2,-z'
'-x+1/2,y+1/2,-z+1/2'
'x+1/2,-y+1/2,z+1/2'
loop_
_atom_site_label
_atom_site_type_symbol
_atom_site_fract_x
_atom_site_fract_y
_atom_site_fract_z
Ni1 Ni 0.000 0.109 0.250
H1 H 0.016 0.395 0.141
H2 H 0.065 0.186 0.729
H3 H 0.172 0.300 0.623
H4 H 0.215 0.116 0.043
H5 H 0.245 0.346 0.403
C1 C 0.113 0.265 0.087
C2 C 0.139 0.044 0.636
S1 S 0.132 0.428 0.972
N1 N 0.053 0.278 0.163
N2 N 0.070 0.062 0.694
N3 N 0.162 0.114 0.092
N4 N 0.190 0.176 0.610
```

No. 5
# NiH8C12S2N4
Computed XRD peak list, copper Kα. Input: a cell relaxed with GGA-PBE.
Intensities are scaled so that the largest is 100.

Most intense lines, 5 to 70 degrees two-theta, low angle first:
2θ 11.54, I 23, (1 1 0)
2θ 13.02, I 100, (1 1 -1)
2θ 13.76, I 38, (2 0 0)
2θ 17.11, I 21, (1 1 1)
2θ 22.65, I 54, (2 2 -1)
2θ 23.22, I 14, (3 1 -2)
2θ 28.93, I 62, (2 0 2)
2θ 33.80, I 14, (3 3 -1)
2θ 35.44, I 11, (3 3 -2)
2θ 50.03, I 10, (5 3 1)

Crystal structure
```
data_NiH8C12S2N4
_chemical_formula_sum 'Ni4 H32 C48 S8 N16'
_space_group_name_H-M_alt 'C 1 2/c 1'
_space_group_IT_number 15
_cell_length_a 14.416
_cell_length_b 9.542
_cell_length_c 10.055
_cell_angle_alpha 90.00
_cell_angle_beta 116.77
_cell_angle_gamma 90.00
loop_
_space_group_symop_operation_xyz
'x,y,z'
'-x,-y,-z'
'-x,y,-z+1/2'
'x,-y,z+1/2'
'x+1/2,y+1/2,z'
'-x+1/2,-y+1/2,-z'
'-x+1/2,y+1/2,-z+1/2'
'x+1/2,-y+1/2,z+1/2'
loop_
_atom_site_label
_atom_site_type_symbol
_atom_site_fract_x
_atom_site_fract_y
_atom_site_fract_z
Ni1 Ni 0.000 0.115 0.250
H1 H 0.060 0.366 0.720
H2 H 0.148 0.167 0.105
H3 H 0.182 0.384 0.609
H4 H 0.228 0.379 0.050
C1 C 0.038 0.409 0.219
C2 C 0.081 0.468 0.693
C3 C 0.105 0.072 0.605
C4 C 0.130 0.272 0.129
C5 C 0.149 0.478 0.632
C6 C 0.174 0.390 0.098
S1 S 0.156 0.126 0.498
N1 N 0.064 0.281 0.189
N2 N 0.069 0.030 0.682
```